Entry 1:
This entry pairs a crystal structure of Zn3CoAs with its simulated powder XRD pattern. Radiation: CuKα. Structure: a structure optimized by DFT (GGA-PBE).
Neutral-atom scattering factors, no anomalous dispersion.

The 8 most intense peaks (2θ from 10° to 90°), in order of rising 2θ:
2θ 19.55, I 16
2θ 27.78, I 20
2θ 34.20, I 85
2θ 39.69, I 100
2θ 57.38, I 65
2θ 68.52, I 32
2θ 72.03, I 21
2θ 85.53, I 10

Cell and atoms:
```
data_Zn3CoAs
_chemical_formula_sum 'Zn3 Co1 As1'
_cell_length_a 4.542
_cell_length_b 4.542
_cell_length_c 4.542
_cell_angle_alpha 90.00
_cell_angle_beta 90.00
_cell_angle_gamma 90.00
_symmetry_space_group_name_H-M 'P 1'
_symmetry_Int_Tables_number 1
_symmetry_space_group_name_Hall 'P 1'
loop_
_atom_site_label
_atom_site_type_symbol
_atom_site_fract_x
_atom_site_fract_y
_atom_site_fract_z
Zn1 Zn 0.000 0.000 0.500
Zn2 Zn 0.000 0.500 0.000
Zn3 Zn 0.500 0.000 0.000
Co1 Co 0.000 0.000 0.000
As1 As 0.500 0.500 0.500
```

Entry 2:
This entry pairs a crystal structure of CrAs3 with its simulated powder XRD pattern. Radiation: CuKα. Structure: a structure optimized by DFT (GGA-PBE).
Neutral-atom scattering factors, no anomalous dispersion.

The 8 most intense peaks (2θ from 10° to 90°), in order of rising 2θ:
2θ 30.55, I 29
2θ 32.81, I 49
2θ 34.74, I 66
2θ 37.82, I 93
2θ 40.08, I 100
2θ 43.82, I 71
2θ 47.92, I 68
2θ 80.22, I 29

Cell and atoms:
```
data_CrAs3
_chemical_formula_sum 'Cr2 As6'
_cell_length_a 3.148
_cell_length_b 7.924
_cell_length_c 5.475
_cell_angle_alpha 90.00
_cell_angle_beta 90.00
_cell_angle_gamma 90.00
_symmetry_space_group_name_H-M 'P 1'
_symmetry_Int_Tables_number 1
_symmetry_space_group_name_Hall 'P 1'
loop_
_atom_site_label
_atom_site_type_symbol
_atom_site_fract_x
_atom_site_fract_y
_atom_site_fract_z
Cr1 Cr 0.250 0.250 0.062
Cr2 Cr 0.750 0.750 0.938
As1 As 0.250 0.564 0.190
As2 As 0.250 0.750 0.598
As3 As 0.250 0.936 0.190
As4 As 0.750 0.064 0.810
As5 As 0.750 0.250 0.402
As6 As 0.750 0.436 0.810
```

Entry 3:
This entry pairs a crystal structure of Cr4As5 with its simulated powder XRD pattern. Radiation: CuKα. Structure: a structure optimized by DFT (GGA-PBE).
Neutral-atom scattering factors, no anomalous dispersion.

The 8 most intense peaks (2θ from 10° to 90°), in order of rising 2θ:
2θ 38.87, I 55
2θ 39.88, I 79
2θ 40.48, I 100
2θ 58.13, I 26
2θ 62.07, I 11
2θ 62.94, I 12
2θ 72.82, I 14
2θ 83.11, I 17

Cell and atoms:
```
data_Cr4As5
_chemical_formula_sum 'Cr8 As10'
_cell_length_a 7.831
_cell_length_b 7.831
_cell_length_c 5.420
_cell_angle_alpha 90.00
_cell_angle_beta 90.00
_cell_angle_gamma 120.00
_symmetry_space_group_name_H-M 'P 1'
_symmetry_Int_Tables_number 1
_symmetry_space_group_name_Hall 'P 1'
loop_
_atom_site_label
_atom_site_type_symbol
_atom_site_fract_x
_atom_site_fract_y
_atom_site_fract_z
Cr1 Cr 0.000 0.000 0.000
Cr2 Cr 0.000 0.000 0.500
Cr3 Cr 0.000 0.383 0.250
Cr4 Cr 0.000 0.617 0.750
Cr5 Cr 0.383 0.000 0.250
Cr6 Cr 0.383 0.383 0.750
Cr7 Cr 0.617 0.000 0.750
Cr8 Cr 0.617 0.617 0.250
As1 As 0.000 0.272 0.750
As2 As 0.000 0.728 0.250
As3 As 0.272 0.000 0.750
As4 As 0.272 0.272 0.250
As5 As 0.333 0.667 0.000
As6 As 0.333 0.667 0.500
As7 As 0.667 0.333 0.000
As8 As 0.667 0.333 0.500
As9 As 0.728 0.000 0.250
As10 As 0.728 0.728 0.750
```

Entry 4:
This entry pairs a crystal structure of Cr4As3 with its simulated powder XRD pattern. Radiation: CuKα. Structure: a structure optimized by DFT (GGA-PBE).
Neutral-atom scattering factors, no anomalous dispersion.

The 8 most intense peaks (2θ from 10° to 90°), in order of rising 2θ:
2θ 32.92, I 59
2θ 33.79, I 72
2θ 41.23, I 77
2θ 42.85, I 57
2θ 43.92, I 35
2θ 45.61, I 38
2θ 48.21, I 100
2θ 51.33, I 52

Cell and atoms:
```
data_Cr4As3
_chemical_formula_sum 'Cr8 As6'
_cell_length_a 6.744
_cell_length_b 6.744
_cell_length_c 9.325
_cell_angle_alpha 103.15
_cell_angle_beta 103.15
_cell_angle_gamma 30.61
_symmetry_space_group_name_H-M 'P 1'
_symmetry_Int_Tables_number 1
_symmetry_space_group_name_Hall 'P 1'
loop_
_atom_site_label
_atom_site_type_symbol
_atom_site_fract_x
_atom_site_fract_y
_atom_site_fract_z
Cr1 Cr 0.000 0.000 0.000
Cr2 Cr 0.000 0.000 0.500
Cr3 Cr 0.218 0.218 0.666
Cr4 Cr 0.352 0.352 0.053
Cr5 Cr 0.433 0.433 0.798
Cr6 Cr 0.567 0.567 0.202
Cr7 Cr 0.648 0.648 0.947
Cr8 Cr 0.782 0.782 0.334
As1 As 0.062 0.062 0.771
As2 As 0.190 0.190 0.150
As3 As 0.361 0.361 0.521
As4 As 0.639 0.639 0.479
As5 As 0.810 0.810 0.850
As6 As 0.938 0.938 0.229
```

Entry 5:
This entry pairs a crystal structure of Cs6CrAs4 with its simulated powder XRD pattern. Radiation: CuKα. Structure: a structure optimized by DFT (GGA-PBE).
Neutral-atom scattering factors, no anomalous dispersion.

The 8 most intense peaks (2θ from 10° to 90°), in order of rising 2θ:
2θ 21.98, I 25
2θ 26.73, I 100
2θ 27.39, I 87
2θ 29.90, I 53
2θ 31.47, I 34
2θ 32.61, I 48
2θ 48.96, I 28
2θ 51.93, I 37

Cell and atoms:
```
data_Cs6CrAs4
_chemical_formula_sum 'Cs12 Cr2 As8'
_cell_length_a 10.983
_cell_length_b 10.983
_cell_length_c 8.938
_cell_angle_alpha 90.00
_cell_angle_beta 90.00
_cell_angle_gamma 120.00
_symmetry_space_group_name_H-M 'P 1'
_symmetry_Int_Tables_number 1
_symmetry_space_group_name_Hall 'P 1'
loop_
_atom_site_label
_atom_site_type_symbol
_atom_site_fract_x
_atom_site_fract_y
_atom_site_fract_z
Cs1 Cs 0.069 0.535 0.000
Cs2 Cs 0.147 0.294 0.682
Cs3 Cs 0.147 0.853 0.682
Cs4 Cs 0.294 0.147 0.182
Cs5 Cs 0.465 0.535 0.000
Cs6 Cs 0.465 0.931 0.000
Cs7 Cs 0.535 0.069 0.500
Cs8 Cs 0.535 0.465 0.500
Cs9 Cs 0.706 0.853 0.682
Cs10 Cs 0.853 0.147 0.182
Cs11 Cs 0.853 0.706 0.182
Cs12 Cs 0.931 0.465 0.500
Cr1 Cr 0.333 0.667 0.395
Cr2 Cr 0.667 0.333 0.895
As1 As 0.217 0.434 0.313
As2 As 0.217 0.783 0.313
As3 As 0.333 0.667 0.655
As4 As 0.434 0.217 0.813
As5 As 0.566 0.783 0.313
As6 As 0.667 0.333 0.155
As7 As 0.783 0.217 0.813
As8 As 0.783 0.566 0.813
```